No. 1
Structure and calculated X-ray powder pattern of DyErMg2 (a structure optimized by DFT (PBE); CuKα).

Top 10 peaks for 2θ from 10° to 90°, in order of rising 2θ:
2θ (°)  d/Å  I/Imax  h k l
15.15  5.848  61.2  0 1 1
22.32  3.984  61.6  1 1 1
25.96  3.432  21.0  0 3 1
30.58  2.924  26.9  0 2 2
30.80  2.903  24.5  1 3 1
32.92  2.721  40.7  2 0 0
34.15  2.625  58.6  1 4 0
34.83  2.576  100.0  1 2 2
60.02  1.541  20.7  3 2 2
64.17  1.451  23.0  2 6 2

Structural model:
```
data_DyErMg2
_chemical_formula_sum 'Dy4 Er4 Mg8'
_symmetry_space_group_name_H-M 'A m a 2'
_symmetry_Int_Tables_number 40
_cell_length_a 5.442
_cell_length_b 11.988
_cell_length_c 6.699
_cell_angle_alpha 90.00
_cell_angle_beta 90.00
_cell_angle_gamma 90.00
loop_
_symmetry_equiv_pos_as_xyz
'x,y,z'
'-x,-y,z'
'-x+1/2,y,z'
'x+1/2,-y,z'
'x,y+1/2,z+1/2'
'-x,-y+1/2,z+1/2'
'-x+1/2,y+1/2,z+1/2'
'x+1/2,-y+1/2,z+1/2'
loop_
_atom_site_label
_atom_site_type_symbol
_atom_site_fract_x
_atom_site_fract_y
_atom_site_fract_z
_atom_site_occupancy
Dy1 Dy 0.250 0.079 0.000 1
Er1 Er 0.250 0.334 0.231 1
Mg1 Mg 0.250 0.083 0.490 1
Mg2 Mg 0.250 0.327 0.733 1
```


No. 2
Structure and calculated X-ray powder pattern of TePd10 (a structure optimized by DFT (PBE); CuKα).

Top 10 peaks for 2θ from 10° to 90°, in order of rising 2θ:
2θ (°)  d/Å  I/Imax  h k l
39.27  2.294  100.0  1 0 14
40.31  2.238  43.2  1 0 15
45.21  2.006  47.5  1 1 0
48.35  1.883  12.8  0 0 29
65.85  1.418  15.1  2 0 0
66.92  1.398  9.7  1 1 28
68.33  1.373  17.7  1 1 29
79.44  1.206  26.0  2 1 14
80.11  1.198  11.2  2 1 15
83.40  1.159  12.2  1 0 43

Structural model:
```
data_TePd10
_chemical_formula_sum 'Te2 Pd20'
_symmetry_space_group_name_H-M 'P 4/n m m'
_symmetry_Int_Tables_number 129
_cell_length_a 2.837
_cell_length_b 2.837
_cell_length_c 54.596
_cell_angle_alpha 90.00
_cell_angle_beta 90.00
_cell_angle_gamma 90.00
loop_
_symmetry_equiv_pos_as_xyz
'x,y,z'
'-x,-y,-z'
'-y+1/2,x,z'
'y+1/2,-x,-z'
'-x+1/2,-y+1/2,z'
'x+1/2,y+1/2,-z'
'y,-x+1/2,z'
'-y,x+1/2,-z'
'x+1/2,-y,-z'
'-x+1/2,y,z'
'-y,-x,-z'
'y,x,z'
'-x,y+1/2,-z'
'x,-y+1/2,z'
'y+1/2,x+1/2,-z'
'-y+1/2,-x+1/2,z'
loop_
_atom_site_label
_atom_site_type_symbol
_atom_site_fract_x
_atom_site_fract_y
_atom_site_fract_z
_atom_site_occupancy
Te1 Te 0.250 0.250 0.130 1
Pd1 Pd 0.250 0.250 0.204 1
Pd2 Pd 0.250 0.250 0.274 1
Pd3 Pd 0.250 0.250 0.344 1
Pd4 Pd 0.250 0.250 0.413 1
Pd5 Pd 0.250 0.250 0.483 1
Pd6 Pd 0.250 0.250 0.552 1
Pd7 Pd 0.250 0.250 0.622 1
Pd8 Pd 0.250 0.250 0.691 1
Pd9 Pd 0.250 0.250 0.760 1
Pd10 Pd 0.250 0.250 0.832 1
```


No. 3
Structure and calculated X-ray powder pattern of Er2Tm3Lu2Ni2Te2 (a structure optimized by DFT (PBE); CuKα).

Top 10 peaks for 2θ from 10° to 90°, in order of rising 2θ:
2θ (°)  d/Å  I/Imax  h k l
29.21  3.057  22.7  1 3 0
30.68  2.914  76.0  1 1 2
33.43  2.680  83.2  0 3 3
34.50  2.600  100.0  1 4 1
34.96  2.566  54.7  1 3 2
35.11  2.556  25.1  0 6 0
37.03  2.428  24.0  1 0 3
47.68  1.907  30.0  2 0 0
51.90  1.762  27.4  1 7 2
59.47  1.554  37.5  2 3 3

Structural model:
```
data_Er2Tm3Lu2Ni2Te2
_chemical_formula_sum 'Er4 Tm6 Lu4 Ni4 Te4'
_symmetry_space_group_name_H-M 'I m m 2'
_symmetry_Int_Tables_number 44
_cell_length_a 3.815
_cell_length_b 15.334
_cell_length_c 9.444
_cell_angle_alpha 90.00
_cell_angle_beta 90.00
_cell_angle_gamma 90.00
loop_
_symmetry_equiv_pos_as_xyz
'x,y,z'
'-x,-y,z'
'-x,y,z'
'x,-y,z'
'x+1/2,y+1/2,z+1/2'
'-x+1/2,-y+1/2,z+1/2'
'-x+1/2,y+1/2,z+1/2'
'x+1/2,-y+1/2,z+1/2'
loop_
_atom_site_label
_atom_site_type_symbol
_atom_site_fract_x
_atom_site_fract_y
_atom_site_fract_z
_atom_site_occupancy
Er1 Er 0.000 0.147 0.000 1
Tm1 Tm 0.000 0.365 0.853 1
Tm2 Tm 0.000 0.500 0.271 1
Lu1 Lu 0.000 0.185 0.648 1
Ni1 Ni 0.000 0.264 0.340 1
Te1 Te 0.000 0.000 0.505 1
Te2 Te 0.000 0.500 0.610 1
```


No. 4
Structure and calculated X-ray powder pattern of LaY2Ag4Sn4 (a structure optimized by DFT (PBE); CuKα).

Top 10 peaks for 2θ from 10° to 90°, in order of rising 2θ:
2θ (°)  d/Å  I/Imax  h k l
31.35  2.854  100.0  1 2 1
32.65  2.742  69.4  1 1 4
34.95  2.567  19.7  0 0 6
35.51  2.528  12.5  1 2 3
39.42  2.286  39.6  2 0 0
40.02  2.253  26.1  0 3 3
42.79  2.114  53.8  1 2 5
57.45  1.604  24.9  2 3 3
66.49  1.406  12.2  3 2 1
70.27  1.340  20.9  1 5 4

Structural model:
```
data_LaY2Ag4Sn4
_chemical_formula_sum 'La2 Y4 Ag8 Sn8'
_symmetry_space_group_name_H-M 'I m m m'
_symmetry_Int_Tables_number 71
_symmetry_space_group_name_Hall '-I 2 2'
_cell_length_a 4.572
_cell_length_b 7.523
_cell_length_c 15.402
_cell_angle_alpha 90.00
_cell_angle_beta 90.00
_cell_angle_gamma 90.00
loop_
_atom_site_label
_atom_site_type_symbol
_atom_site_fract_x
_atom_site_fract_y
_atom_site_fract_z
_atom_site_occupancy
La1 La 0.000 0.000 0.000 1
Y1 Y 0.000 0.500 0.128 1
Ag1 Ag 0.000 0.304 0.330 1
Sn1 Sn 0.000 0.000 0.219 1
Sn2 Sn 0.000 0.190 0.500 1
```


No. 5
Structure and calculated X-ray powder pattern of TbPmSi3 (a structure optimized by DFT (PBE); CuKα).

Top 10 peaks for 2θ from 10° to 90°, in order of rising 2θ:
2θ (°)  d/Å  I/Imax  h k l
21.28  4.174  23.8  1 1 0
26.71  3.337  61.5  0 4 1
28.94  3.086  24.7  0 8 0
32.79  2.731  100.0  1 3 1
33.05  2.710  60.2  1 7 0
42.70  2.118  22.9  2 0 0
45.74  1.984  18.9  0 0 2
51.08  1.788  22.0  2 4 1
51.52  1.774  20.6  1 11 1
57.58  1.601  24.5  1 7 2

Structural model:
```
data_TbPmSi3
_chemical_formula_sum 'Tb4 Pm4 Si12'
_symmetry_space_group_name_H-M 'C m c m'
_symmetry_Int_Tables_number 63
_symmetry_space_group_name_Hall '-C 2c 2'
_cell_length_a 4.235
_cell_length_b 24.685
_cell_length_c 3.968
_cell_angle_alpha 90.00
_cell_angle_beta 90.00
_cell_angle_gamma 90.00
loop_
_atom_site_label
_atom_site_type_symbol
_atom_site_fract_x
_atom_site_fract_y
_atom_site_fract_z
_atom_site_occupancy
Tb1 Tb 0.000 0.203 0.250 1
Pm1 Pm 0.000 0.070 0.750 1
Si1 Si 0.000 0.322 0.250 1
Si2 Si 0.000 0.380 0.750 1
Si3 Si 0.000 0.475 0.750 1
```


No. 6
Structure and calculated X-ray powder pattern of TmCdCo (a structure optimized by DFT (PBE); CuKα).

Top 9 peaks for 2θ from 10° to 90°, in order of rising 2θ:
2θ (°)  d/Å  I/Imax  h k l
23.59  3.772  63.9  1 1 1
38.99  2.310  100.0  2 2 0
46.08  1.970  32.6  3 1 1
56.33  1.633  16.7  4 0 0
61.91  1.499  13.6  3 3 1
70.63  1.334  33.3  4 2 2
75.64  1.257  10.1  5 1 1
83.75  1.155  10.6  4 4 0
88.55  1.104  10.6  5 3 1

Structural model:
```
data_TmCdCo
_chemical_formula_sum 'Tm4 Cd4 Co4'
_symmetry_space_group_name_H-M 'F -4 3 m'
_symmetry_Int_Tables_number 216
_symmetry_space_group_name_Hall 'F -4 2 3'
_cell_length_a 6.533
_cell_length_b 6.533
_cell_length_c 6.533
_cell_angle_alpha 90.00
_cell_angle_beta 90.00
_cell_angle_gamma 90.00
loop_
_atom_site_label
_atom_site_type_symbol
_atom_site_fract_x
_atom_site_fract_y
_atom_site_fract_z
_atom_site_occupancy
Tm1 Tm 0.000 0.000 0.000 1
Cd1 Cd 0.250 0.250 0.750 1
Co1 Co 0.250 0.250 0.250 1
```


No. 7
Structure and calculated X-ray powder pattern of MgRe (a structure optimized by DFT (PBE); CuKα).

Top 10 peaks for 2θ from 10° to 90°, in order of rising 2θ:
2θ (°)  d/Å  I/Imax  h k l
21.43  4.146  28.3  0 1 1
32.45  2.759  30.2  1 0 1
35.75  2.512  52.8  1 0 2
39.66  2.273  81.3  0 1 4
39.97  2.256  48.6  0 2 0
40.92  2.206  27.6  0 2 1
41.13  2.195  100.0  1 1 2
45.61  1.989  64.4  1 1 3
47.68  1.907  28.8  0 1 5
54.69  1.678  31.5  1 2 2

Structural model:
```
data_MgRe
_chemical_formula_sum 'Mg4 Re4'
_symmetry_space_group_name_H-M 'P m m n'
_symmetry_Int_Tables_number 59
_cell_length_a 2.859
_cell_length_b 4.512
_cell_length_c 10.522
_cell_angle_alpha 90.00
_cell_angle_beta 90.00
_cell_angle_gamma 90.00
loop_
_symmetry_equiv_pos_as_xyz
'x,y,z'
'-x,-y,-z'
'-x+1/2,-y+1/2,z'
'x+1/2,y+1/2,-z'
'x+1/2,-y,-z'
'-x+1/2,y,z'
'-x,y+1/2,-z'
'x,-y+1/2,z'
loop_
_atom_site_label
_atom_site_type_symbol
_atom_site_fract_x
_atom_site_fract_y
_atom_site_fract_z
_atom_site_occupancy
Mg1 Mg 0.250 0.250 0.069 1
Mg2 Mg 0.250 0.750 0.224 1
Re1 Re 0.250 0.250 0.542 1
Re2 Re 0.250 0.750 0.678 1
```


No. 8
Structure and calculated X-ray powder pattern of La2TbSn5Pb2 (a structure optimized by DFT (PBE); CuKα).

Top 10 peaks for 2θ from 10° to 90°, in order of rising 2θ:
2θ (°)  d/Å  I/Imax  h k l
32.03  2.795  100.0  1 5 1
34.09  2.630  16.5  0 10 0
37.74  2.384  17.5  0 0 2
39.44  2.285  15.5  2 0 0
51.76  1.766  10.3  0 10 2
53.10  1.725  9.7  2 10 0
55.73  1.649  11.5  2 0 2
59.72  1.548  8.6  1 15 1
64.57  1.443  13.8  1 5 3
66.93  1.398  22.3  3 5 1

Structural model:
```
data_La2TbSn5Pb2
_chemical_formula_sum 'La4 Tb2 Sn10 Pb4'
_symmetry_space_group_name_H-M 'C m m m'
_symmetry_Int_Tables_number 65
_symmetry_space_group_name_Hall '-C 2 2'
_cell_length_a 4.569
_cell_length_b 26.303
_cell_length_c 4.767
_cell_angle_alpha 90.00
_cell_angle_beta 90.00
_cell_angle_gamma 90.00
loop_
_atom_site_label
_atom_site_type_symbol
_atom_site_fract_x
_atom_site_fract_y
_atom_site_fract_z
_atom_site_occupancy
La1 La 0.000 0.186 0.000 1
Tb1 Tb 0.000 0.000 0.000 1
Sn1 Sn 0.000 0.288 0.500 1
Sn2 Sn 0.000 0.408 0.000 1
Sn3 Sn 0.000 0.500 0.500 1
Pb1 Pb 0.000 0.095 0.500 1
```


No. 9
Structure and calculated X-ray powder pattern of TcC5IO5 (a structure optimized by DFT (PBE); CuKα).

Top 10 peaks for 2θ from 10° to 90°, in order of rising 2θ:
2θ (°)  d/Å  I/Imax  h k l
14.46  6.124  96.0  1 1 0
16.85  5.261  76.9  0 0 2
22.28  3.991  94.5  1 1 2
27.59  3.233  32.5  1 3 0
29.39  3.039  100.0  2 0 2
30.41  2.939  32.7  0 2 3
32.51  2.754  51.5  1 3 2
33.29  2.691  43.0  0 4 0
37.19  2.418  29.0  3 1 0
44.99  2.015  46.1  2 4 2

Structural model:
```
data_TcC5IO5
_chemical_formula_sum 'Tc4 C20 I4 O20'
_symmetry_space_group_name_H-M 'C m c m'
_symmetry_Int_Tables_number 63
_symmetry_space_group_name_Hall '-C 2c 2'
_cell_length_a 7.447
_cell_length_b 10.765
_cell_length_c 10.522
_cell_angle_alpha 90.00
_cell_angle_beta 90.00
_cell_angle_gamma 90.00
loop_
_atom_site_label
_atom_site_type_symbol
_atom_site_fract_x
_atom_site_fract_y
_atom_site_fract_z
_atom_site_occupancy
Tc1 Tc 0.000 0.142 0.250 1
C1 C 0.000 0.321 0.250 1
C2 C 0.193 0.132 0.118 1
I1 I 0.000 0.120 0.750 1
O1 O 0.000 0.429 0.250 1
O2 O 0.194 0.376 0.544 1
```


No. 10
Structure and calculated X-ray powder pattern of TbScHg6 (a structure optimized by DFT (PBE); CuKα).

Top 10 peaks for 2θ from 10° to 90°, in order of rising 2θ:
2θ (°)  d/Å  I/Imax  h k l
23.88  3.726  7.4  1 0 2
31.63  2.829  24.9  0 2 2
36.30  2.475  22.7  2 0 0
36.58  2.456  100.0  1 0 4
48.89  1.863  15.0  2 2 2
56.33  1.633  19.3  0 4 0
65.49  1.425  18.6  3 0 4
68.87  1.363  21.3  2 4 0
69.06  1.360  15.8  1 4 4
77.76  1.228  3.9  2 0 8

Structural model:
```
data_TbScHg6
_chemical_formula_sum 'Tb2 Sc2 Hg12'
_symmetry_space_group_name_H-M 'A m m 2'
_symmetry_Int_Tables_number 38
_cell_length_a 4.950
_cell_length_b 6.535
_cell_length_c 11.314
_cell_angle_alpha 90.00
_cell_angle_beta 90.00
_cell_angle_gamma 90.00
loop_
_symmetry_equiv_pos_as_xyz
'x,y,z'
'-x,-y,z'
'-x,y,z'
'x,-y,z'
'x,y+1/2,z+1/2'
'-x,-y+1/2,z+1/2'
'-x,y+1/2,z+1/2'
'x,-y+1/2,z+1/2'
loop_
_atom_site_label
_atom_site_type_symbol
_atom_site_fract_x
_atom_site_fract_y
_atom_site_fract_z
_atom_site_occupancy
Tb1 Tb 0.000 0.000 0.000 1
Sc1 Sc 0.500 0.000 0.669 1
Hg1 Hg 0.000 0.000 0.506 1
Hg2 Hg 0.000 0.245 0.749 1
Hg3 Hg 0.500 0.000 0.169 1
Hg4 Hg 0.500 0.246 0.417 1
```


No. 11
Structure and calculated X-ray powder pattern of Ho3Mg3AlGaAg (a structure optimized by DFT (PBE); CuKα).

Top 10 peaks for 2θ from 10° to 90°, in order of rising 2θ:
2θ (°)  d/Å  I/Imax  h k l
20.37  4.359  39.8  0 0 1
24.07  3.698  26.4  1 1 0
27.86  3.202  45.2  2 0 0
31.73  2.820  64.7  1 1 1
34.76  2.581  100.0  2 0 1
37.14  2.421  22.9  1 2 0
41.43  2.180  22.1  0 0 2
42.73  2.116  19.0  2 1 1
51.44  1.776  19.9  1 3 0
55.89  1.645  29.5  3 1 1

Structural model:
```
data_Ho3Mg3AlGaAg
_chemical_formula_sum 'Ho3 Mg3 Al1 Ga1 Ag1'
_symmetry_space_group_name_H-M 'P -6'
_symmetry_Int_Tables_number 174
_cell_length_a 7.3956
_cell_length_b 7.3956
_cell_length_c 4.3590
_cell_angle_alpha 90.00
_cell_angle_beta 90.00
_cell_angle_gamma 120.00
loop_
_symmetry_equiv_pos_as_xyz
'x,y,z'
'-x+y,-x,-z'
'-y,x-y,z'
'x,y,-z'
'-x+y,-x,z'
'-y,x-y,-z'
loop_
_atom_site_label
_atom_site_type_symbol
_atom_site_fract_x
_atom_site_fract_y
_atom_site_fract_z
_atom_site_occupancy
Ho1 Ho 0.0055 0.4235 0.0000 1
Mg1 Mg 0.0008 0.7555 0.5000 1
Al1 Al 0.6667 0.3333 0.5000 1
Ga1 Ga 0.3333 0.6667 0.5000 1
Ag1 Ag 0.0000 0.0000 0.0000 1
```